The following is a calculated X-ray diffraction stick pattern of Np4Ni3Sb8. It was derived from a cell relaxed with GGA-PBE, using CuKα.

Structure:
Cell: 4.3501 4.3501 18.3439 Å, 90.00 90.00 90.00°
Fractional coordinates of all 15 atoms:
Np 0.0000 0.5000 0.1129
Np 0.0000 0.5000 0.6199
Np 0.5000 0.0000 0.3801
Np 0.5000 0.0000 0.8871
Ni 0.0000 0.0000 0.0000
Ni 0.0000 0.0000 0.5000
Ni 0.5000 0.5000 0.5000
Sb 0.0000 0.0000 0.2463
Sb 0.0000 0.0000 0.7537
Sb 0.0000 0.5000 0.4230
Sb 0.0000 0.5000 0.9276
Sb 0.5000 0.0000 0.0724
Sb 0.5000 0.0000 0.5770
Sb 0.5000 0.5000 0.2465
Sb 0.5000 0.5000 0.7535

The 10 most intense peaks (2θ from 15° to 90°), in order of rising 2θ:
2θ 22.62, intensity 28, hkl 1 0 2; 2θ 29.21, intensity 15, hkl 0 0 6; 2θ 30.66, intensity 22, hkl 1 1 2; 2θ 35.13, intensity 100, hkl 1 1 4; 2θ 35.90, intensity 33, hkl 1 0 6; 2θ 41.52, intensity 46, hkl 2 0 0; 2θ 54.27, intensity 15, hkl 1 0 10; 2θ 56.03, intensity 19, hkl 2 1 6; 2θ 60.17, intensity 15, hkl 2 2 0; 2θ 71.62, intensity 25, hkl 3 1 4